Starting from a crystal structure in Alexandria, relaxed with GGA-PBE, the powder X-ray diffraction pattern of Li2PuVN4 was simulated for CuKα.
No peak broadening, texture or thermal motion is included.

Unit cell a=4.1774 b=7.0229 c=6.5866 alpha=90.00 beta=90.00 gamma=90.00
Space group Pmmn (No. 59, origin choice 2)
Asymmetric unit:
Li 0.2500 0.0285 0.1441 x4
Pu 0.2500 0.2500 0.6686 x2
V 0.2500 0.7500 0.6880 x2
N 0.2500 0.2500 0.3566 x2
N 0.2500 0.5313 0.8270 x4
N 0.2500 0.7500 0.3818 x2

Principal peaks in the range 2θ = 5–70°, in order of rising 2θ:
two_theta	I (rel.)	index
13.44	62	0 0 1
18.47	71	0 1 1
24.80	53	1 1 0
25.25	100	1 0 1
25.36	62	0 2 0
28.81	35	0 2 1
29.97	31	0 1 2
36.09	61	1 2 1
43.46	38	1 2 2
48.93	30	0 2 3